1.
This entry pairs a crystal structure of Sm4Br4O3 with its theoretical powder X-ray diffraction pattern. Radiation: Cu Kα X-rays. Structure: a cell relaxed with GGA-PBE.

Top 8 peaks for 2θ = 10–90°, in order of rising 2θ:
2θ (°), I (rel.), index
10.0, 41, 0 0 1
30.7, 100, 1 0 2
32.6, 46, 1 2 0
38.4, 11, 1 0 3
47.4, 11, 1 0 4
53.3, 13, 1 2 4
56.9, 17, 1 4 2
57.0, 17, 2 2 2

Structural model:
abc: 3.8800 7.7850 8.8204
angles: 90.00 90.00 90.00
Space group Pmm2 (No. 25)
One atom of each set of equivalent atoms:
Sm (0.0000, 0.0000, 0.0000)
Sm (0.0000, 0.5000, 0.0088)
Sm (0.5000, 0.2494, 0.7269)
Br (0.0000, 0.0000, 0.5417)
Br (0.0000, 0.5000, 0.5501)
Br (0.5000, 0.2487, 0.1866)
O (0.0000, 0.2591, 0.8656)
O (0.5000, 0.0000, 0.8654)

2.
This entry pairs a crystal structure of Sm4Br6O with its theoretical powder X-ray diffraction pattern. Radiation: Cu Kα X-rays. Structure: a cell relaxed with GGA-PBE.

Top 8 peaks for 2θ = 10–90°, in order of rising 2θ:
2θ (°), I (rel.), index
15.7, 60, 1 0 1
24.6, 55, 2 0 1
31.2, 78, 2 1 1
31.6, 100, 2 0 2
35.0, 73, 3 0 1
36.0, 52, 1 0 3
37.1, 68, 2 1 2
38.4, 90, 2 2 0

Structural model:
abc: 9.3876 9.3876 7.8698
angles: 90.00 90.00 120.00
Space group P6_3mc (No. 186)
One atom of each set of equivalent atoms:
Sm (0.1958, 0.3915, 0.0000)
Sm (0.3333, 0.6667, 0.3225)
Br (0.0375, 0.5188, 0.6904)
Br (0.1345, 0.2691, 0.3729)
O (0.3333, 0.6667, 0.0177)

3.
This entry pairs a crystal structure of TcBrO3 with its theoretical powder X-ray diffraction pattern. Radiation: Cu Kα X-rays. Structure: a cell relaxed with GGA-PBE.

Top 8 peaks for 2θ = 10–90°, in order of rising 2θ:
2θ (°), I (rel.), index
14.9, 65, 1 0 0
19.2, 100, 0 1 1
24.2, 99, 0 1 2
24.8, 76, 1 1 1
29.3, 53, 1 1 2
30.0, 49, 2 0 0
37.6, 81, 2 1 -2
38.7, 37, 1 0 4

Structural model:
abc: 5.9827 5.1605 10.5397
angles: 90.00 95.19 90.00
Space group P2_1/c (No. 14)
One atom of each set of equivalent atoms:
Tc (0.1825, 0.0878, 0.3486)
Br (0.2004, 0.6914, 0.0564)
O (0.0490, 0.2265, 0.2096)
O (0.3218, 0.1616, 0.9246)
O (0.3908, 0.6125, 0.8044)

4.
This entry pairs a crystal structure of Zr2Te4Br2O11 with its theoretical powder X-ray diffraction pattern. Radiation: Cu Kα X-rays. Structure: a cell relaxed with GGA-PBE.

Top 8 peaks for 2θ = 10–90°, in order of rising 2θ:
2θ (°), I (rel.), index
24.3, 78, 1 2 -1
27.6, 100, 1 0 -3
32.6, 30, 1 -2 3
35.1, 39, 3 0 -1
37.5, 17, 2 0 2
38.9, 12, 2 2 -4
45.3, 16, -3 2 3
55.1, 24, 4 2 -2

Structural model:
abc: 7.8117 9.4253 10.4612
angles: 111.68 106.39 99.41
Space group P-1 (No. 2)
One atom of each set of equivalent atoms:
Zr (0.1119, 0.3875, 0.3772)
Zr (0.3729, 0.1121, 0.1082)
Te (0.0189, 0.2730, 0.0034)
Te (0.2348, 0.0284, 0.7403)
Te (0.2497, 0.4927, 0.7801)
Te (0.4909, 0.7747, 0.4755)
Br (0.1011, 0.8711, 0.3691)
Br (0.3697, 0.6142, 0.1138)
O (0.0636, 0.5991, 0.8272)
O (0.0785, 0.8287, 0.6835)
O (0.1008, 0.4854, 0.5948)
O (0.1671, 0.9135, 0.0537)
O (0.1841, 0.2614, 0.1773)
O (0.1883, 0.1461, 0.9207)
O (0.3026, 0.5894, 0.4216)
O (0.3121, 0.3180, 0.5093)
O (0.4240, 0.0169, 0.8985)
O (0.4373, 0.6711, 0.8254)
O (0.4869, 0.1247, 0.3249)

Please write out number 4 again, unchanged.
This entry pairs a crystal structure of Zr2Te4Br2O11 with its theoretical powder X-ray diffraction pattern. Radiation: Cu Kα X-rays. Structure: a cell relaxed with GGA-PBE.

Top 8 peaks for 2θ = 10–90°, in order of rising 2θ:
2θ (°), I (rel.), index
24.3, 78, 1 2 -1
27.6, 100, 1 0 -3
32.6, 30, 1 -2 3
35.1, 39, 3 0 -1
37.5, 17, 2 0 2
38.9, 12, 2 2 -4
45.3, 16, -3 2 3
55.1, 24, 4 2 -2

Structural model:
abc: 7.8117 9.4253 10.4612
angles: 111.68 106.39 99.41
Space group P-1 (No. 2)
One atom of each set of equivalent atoms:
Zr (0.1119, 0.3875, 0.3772)
Zr (0.3729, 0.1121, 0.1082)
Te (0.0189, 0.2730, 0.0034)
Te (0.2348, 0.0284, 0.7403)
Te (0.2497, 0.4927, 0.7801)
Te (0.4909, 0.7747, 0.4755)
Br (0.1011, 0.8711, 0.3691)
Br (0.3697, 0.6142, 0.1138)
O (0.0636, 0.5991, 0.8272)
O (0.0785, 0.8287, 0.6835)
O (0.1008, 0.4854, 0.5948)
O (0.1671, 0.9135, 0.0537)
O (0.1841, 0.2614, 0.1773)
O (0.1883, 0.1461, 0.9207)
O (0.3026, 0.5894, 0.4216)
O (0.3121, 0.3180, 0.5093)
O (0.4240, 0.0169, 0.8985)
O (0.4373, 0.6711, 0.8254)
O (0.4869, 0.1247, 0.3249)